Simulated powder XRD pattern
Compound: Tb12Pm2Ho5
Radiation: Cu Kα (weighted mean of Kα1 and Kα2)
Structure: a DFT-relaxed cell (GGA-PBE, Alexandria)
Lines closer than 0.1° are merged.

Atomic structure:
Cell: 6.4748 8.8033 11.4726 Å, 107.68 90.42 98.60°
Atoms (fractional coordinates):
Tb 0.0524 0.1468 0.4343
Tb 0.0617 0.6457 0.7647
Tb 0.1441 0.7607 0.2745
Tb 0.3081 0.0680 0.8127
Tb 0.3817 0.3691 0.7072
Tb 0.4153 0.2376 0.2284
Tb 0.5847 0.7624 0.7716
Tb 0.6183 0.6309 0.2928
Tb 0.6919 0.9320 0.1873
Tb 0.8559 0.2393 0.7255
Tb 0.9383 0.3543 0.2353
Tb 0.9476 0.8532 0.5657
Pm 0.1945 0.8762 0.0355
Pm 0.8055 0.1238 0.9645
Ho 0.2402 0.4516 0.0103
Ho 0.2699 0.5617 0.4904
Ho 0.5000 0.0000 0.5000
Ho 0.7301 0.4383 0.5096
Ho 0.7598 0.5484 0.9897

Largest 8 diffraction maxima, by angle, 2θ from 10° to 80°:
| 2θ/deg | intensity |
| --- | --- |
| 27.5 | 25 |
| 29.6 | 22 |
| 30.8 | 84 |
| 31.2 | 22 |
| 31.6 | 100 |
| 31.9 | 81 |
| 32.8 | 48 |
| 33.7 | 45 |

Simulated powder XRD pattern
Compound: Pr3YHo6Th2
Radiation: Cu Kα (weighted mean of Kα1 and Kα2)
Structure: a DFT-relaxed cell (GGA-PBE, Alexandria)
Lines closer than 0.1° are merged.

Atomic structure:
Cell: 6.2185 6.2185 11.8087 Å, 95.05 95.05 119.97°
Atoms (fractional coordinates):
Pr 0.0000 0.0000 0.0000
Pr 0.3337 0.6663 0.0000
Pr 0.6663 0.3337 0.0000
Y 0.5000 0.5000 0.5000
Ho 0.0802 0.4184 0.2555
Ho 0.2434 0.2434 0.7448
Ho 0.4184 0.0802 0.2555
Ho 0.5816 0.9198 0.7445
Ho 0.7566 0.7566 0.2552
Ho 0.9198 0.5816 0.7445
Th 0.1665 0.8335 0.5000
Th 0.8335 0.1665 0.5000

Largest 8 diffraction maxima, by angle, 2θ from 10° to 80°:
| 2θ/deg | intensity |
| --- | --- |
| 30.5 | 100 |
| 30.8 | 32 |
| 35.5 | 67 |
| 50.9 | 24 |
| 51.2 | 23 |
| 60.5 | 14 |
| 60.6 | 28 |
| 60.9 | 14 |

Simulated powder XRD pattern
Compound: Be3Cd
Radiation: Cu Kα (weighted mean of Kα1 and Kα2)
Structure: a DFT-relaxed cell (GGA-PBE, Alexandria)
Lines closer than 0.1° are merged.

Atomic structure:
Cell: 2.6786 7.9138 4.4481 Å, 90.00 90.00 90.00°
Atoms (fractional coordinates):
Be 0.0000 0.0000 0.0000
Be 0.0000 0.2619 0.3546
Be 0.0000 0.7381 0.3546
Be 0.5000 0.2381 0.8546
Be 0.5000 0.5000 0.5000
Be 0.5000 0.7619 0.8546
Cd 0.0000 0.5000 0.9923
Cd 0.5000 0.0000 0.4923

Largest 8 diffraction maxima, by angle, 2θ from 10° to 80°:
| 2θ/deg | intensity |
| --- | --- |
| 22.5 | 53 |
| 22.9 | 100 |
| 35.4 | 34 |
| 39.3 | 27 |
| 39.7 | 25 |
| 45.7 | 45 |
| 46.9 | 19 |
| 54.9 | 18 |

Simulated powder XRD pattern
Compound: Li2Sb2Pt
Radiation: Cu Kα (weighted mean of Kα1 and Kα2)
Structure: a DFT-relaxed cell (GGA-PBE, Alexandria)
Lines closer than 0.1° are merged.

Atomic structure:
Cell: 6.9126 6.9126 4.5454 Å, 90.00 90.00 90.00°
Atoms (fractional coordinates):
Li 0.1631 0.3369 0.0000
Li 0.3369 0.8369 0.0000
Li 0.6631 0.1631 0.0000
Li 0.8369 0.6631 0.0000
Sb 0.1473 0.6473 0.5000
Sb 0.3527 0.1473 0.5000
Sb 0.6473 0.8527 0.5000
Sb 0.8527 0.3527 0.5000
Pt 0.0000 0.0000 0.5000
Pt 0.5000 0.5000 0.5000

Largest 8 diffraction maxima, by angle, 2θ from 10° to 80°:
| 2θ/deg | intensity |
| --- | --- |
| 19.5 | 100 |
| 28.9 | 27 |
| 35.1 | 39 |
| 39.7 | 18 |
| 41.3 | 36 |
| 42.0 | 14 |
| 46.1 | 50 |
| 58.6 | 26 |